Entry 1:
Structure and simulated X-ray diffraction stick pattern of ZrHgTe2 (the GGA-PBE geometry in Alexandria; a wavelength of 1.5418 Å).
Intensities are scaled so that the largest is 1000.

Atomic structure:
```
data_ZrHgTe2
_symmetry_space_group_name_H-M 'R -3 m'
_symmetry_Int_Tables_number 166
_symmetry_space_group_name_Hall '-R 3 2"'
_cell_length_a 3.9646
_cell_length_b 3.9646
_cell_length_c 33.3654
_cell_angle_alpha 90.00
_cell_angle_beta 90.00
_cell_angle_gamma 120.00
loop_
_atom_site_label
_atom_site_type_symbol
_atom_site_fract_x
_atom_site_fract_y
_atom_site_fract_z
Zr1 Zr 0.0000 0.0000 0.0000
Hg1 Hg 0.0000 0.0000 0.5000
Te1 Te 0.0000 0.0000 0.3874
```

Most intense lines, 10 to 90 degrees two-theta, low angle first:
2θ (°)	intensity
15.9	272
24.0	405
26.1	689
26.5	846
33.8	1000
37.6	672
45.8	514
52.3	301
58.1	211
69.4	291

***

Entry 2:
Structure and simulated X-ray diffraction stick pattern of Zr4HgTe8 (the GGA-PBE geometry in Alexandria; a wavelength of 1.5418 Å).
Intensities are scaled so that the largest is 1000.

Atomic structure:
```
data_Zr4HgTe8
_symmetry_space_group_name_H-M 'C 1 m 1'
_symmetry_Int_Tables_number 8
_cell_length_a 19.806
_cell_length_b 3.972
_cell_length_c 13.790
_cell_angle_alpha 90.00
_cell_angle_beta 128.78
_cell_angle_gamma 90.00
loop_
_symmetry_equiv_pos_as_xyz
'x,y,z'
'x,-y,z'
'x+1/2,y+1/2,z'
'x+1/2,-y+1/2,z'
loop_
_atom_site_label
_atom_site_type_symbol
_atom_site_fract_x
_atom_site_fract_y
_atom_site_fract_z
Zr1 Zr 0.000 0.000 0.000
Zr2 Zr 0.013 0.500 0.372
Zr3 Zr 0.179 0.000 0.681
Zr4 Zr 0.192 0.500 0.053
Hg1 Hg 0.346 0.500 0.526
Te1 Te 0.009 0.500 0.853
Te2 Te 0.048 0.500 0.609
Te3 Te 0.145 0.000 0.444
Te4 Te 0.184 0.000 0.200
Te5 Te 0.224 0.000 0.934
Te6 Te 0.312 0.500 0.780
Te7 Te 0.380 0.500 0.274
Te8 Te 0.469 0.000 0.119
```

Most intense lines, 10 to 90 degrees two-theta, low angle first:
2θ (°)	intensity
27.2	345
27.5	625
28.4	1000
29.1	464
29.8	811
35.4	493
40.1	286
44.0	703
45.7	327
47.9	235

***

Entry 3:
Structure and simulated X-ray diffraction stick pattern of Th3Hg (the GGA-PBE geometry in Alexandria; a wavelength of 1.5418 Å).
Intensities are scaled so that the largest is 1000.

Atomic structure:
```
data_Th3Hg
_symmetry_space_group_name_H-M 'P m m m'
_symmetry_Int_Tables_number 47
_cell_length_a 3.603
_cell_length_b 4.494
_cell_length_c 7.363
_cell_angle_alpha 90.00
_cell_angle_beta 90.00
_cell_angle_gamma 90.00
loop_
_symmetry_equiv_pos_as_xyz
'x,y,z'
'-x,-y,-z'
'-x,-y,z'
'x,y,-z'
'x,-y,-z'
'-x,y,z'
'-x,y,-z'
'x,-y,z'
loop_
_atom_site_label
_atom_site_type_symbol
_atom_site_fract_x
_atom_site_fract_y
_atom_site_fract_z
Th1 Th 0.000 0.000 0.000
Th2 Th 0.500 0.500 0.265
Hg1 Hg 0.000 0.000 0.500
```

Most intense lines, 10 to 90 degrees two-theta, low angle first:
2θ (°)	intensity
31.4	1000
31.8	983
34.8	764
40.1	266
49.5	137
50.7	138
54.2	446
60.1	311
60.8	316
66.5	124

***

Entry 4:
Structure and simulated X-ray diffraction stick pattern of Th5Hg4 (the GGA-PBE geometry in Alexandria; a wavelength of 1.5418 Å).
Intensities are scaled so that the largest is 1000.

Atomic structure:
```
data_Th5Hg4
_symmetry_space_group_name_H-M 'I 4/m m m'
_symmetry_Int_Tables_number 139
_symmetry_space_group_name_Hall '-I 4 2'
_cell_length_a 11.027
_cell_length_b 11.027
_cell_length_c 4.148
_cell_angle_alpha 90.00
_cell_angle_beta 90.00
_cell_angle_gamma 90.00
loop_
_atom_site_label
_atom_site_type_symbol
_atom_site_fract_x
_atom_site_fract_y
_atom_site_fract_z
Th1 Th 0.000 0.000 0.000
Th2 Th 0.000 0.321 0.000
Hg1 Hg 0.174 0.174 0.500
```

Most intense lines, 10 to 90 degrees two-theta, low angle first:
2θ (°)	intensity
32.5	1000
34.5	415
43.6	114
49.6	148
56.8	205
60.6	322
68.2	115
73.1	101
82.0	64
83.1	61